(1)
Starting from a cell relaxed with PBE, the powder diffraction line list of BaCeC2O6F was simulated for Cu Kα.
Neutral-atom scattering factors, no anomalous dispersion.

Structure:
Unit cell a=5.6297 b=5.6297 c=39.2979 alpha=90.00 beta=90.00 gamma=120.00
Space group R-3m (No. 166, hexagonal axes)
Asymmetric unit:
Ba  0.0000  0.0000  0.0000 [3 per cell]
Ba  0.0000  0.0000  0.5000 [3 per cell]
Ce  0.0000  0.0000  0.2501 [6 per cell]
C  0.0000  0.0000  0.1084 [6 per cell]
C  0.0000  0.0000  0.3783 [6 per cell]
O  0.0663  0.5332  0.2872 [18 per cell]
O  0.0706  0.5353  0.5579 [18 per cell]
F  0.0000  0.0000  0.1819 [6 per cell]

The 6 most intense peaks (15 to 90 degrees two-theta), sorted by position:
index  two_theta  d [Å]  Rel. int.
1 0 4  20.33  4.367  74
0 1 8  25.75  3.460  100
1 1 0  31.79  2.815  51
0 2 4  38.03  2.366  28
1 0 16  41.15  2.193  28
1 1 12  42.34  2.135  42

---

(2)
Starting from a cell relaxed with PBE, the powder diffraction line list of CeSe2 was simulated for Cu Kα.
Neutral-atom scattering factors, no anomalous dispersion.

Structure:
Unit cell a=17.1325 b=17.1325 c=17.1325 alpha=90.00 beta=90.00 gamma=90.00
Space group Ia-3d (No. 230)
Asymmetric unit:
Ce  0.0000  0.2500  0.3750 [24 per cell]
Se  0.0316  0.1250  0.7816 [48 per cell]

The 6 most intense peaks (15 to 90 degrees two-theta), sorted by position:
index  two_theta  d [Å]  Rel. int.
3 2 1  19.39  4.579  100
4 2 2  25.47  3.497  87
4 3 1  26.53  3.360  44
4 4 4  36.33  2.473  64
6 3 3  38.62  2.331  63
6 5 3  44.23  2.048  66

---

(3)
Starting from a cell relaxed with PBE, the powder diffraction line list of Nd4Mg3Co2 was simulated for Cu Kα.
Neutral-atom scattering factors, no anomalous dispersion.

Structure:
Unit cell a=7.6264 b=3.8504 c=8.3115 alpha=90.00 beta=109.80 gamma=90.00
Space group P2/m (No. 10)
Asymmetric unit:
Nd  0.0968  0.0000  0.2252 [2 per cell]
Nd  0.3980  0.0000  0.6821 [2 per cell]
Mg  0.0000  0.5000  0.5000 [1 per cell]
Mg  0.2937  0.5000  0.0016 [2 per cell]
Co  0.3520  0.5000  0.3945 [2 per cell]

The 6 most intense peaks (15 to 90 degrees two-theta), sorted by position:
index  two_theta  d [Å]  Rel. int.
0 0 2  22.74  3.910  43
0 1 0  23.10  3.850  46
2 0 -1  23.52  3.783  47
0 1 2  32.64  2.743  90
2 1 -1  33.20  2.698  100
2 1 1  38.80  2.321  56

---

(4)
Starting from a cell relaxed with PBE, the powder diffraction line list of Sn4CN4 was simulated for Cu Kα.
Neutral-atom scattering factors, no anomalous dispersion.

Structure:
Unit cell a=10.7032 b=3.3011 c=19.7722 alpha=90.00 beta=90.00 gamma=90.00
Space group Pnma (No. 62)
Asymmetric unit:
Sn  0.0784  0.2500  0.1568 [4 per cell]
Sn  0.1044  0.2500  0.5606 [4 per cell]
Sn  0.1385  0.7500  0.3377 [4 per cell]
Sn  0.1457  0.7500  0.7096 [4 per cell]
C  0.1247  0.2500  0.9171 [4 per cell]
N  0.0053  0.2500  0.3723 [4 per cell]
N  0.0085  0.2500  0.9085 [4 per cell]
N  0.2337  0.2500  0.6475 [4 per cell]
N  0.2374  0.2500  0.9262 [4 per cell]

The 6 most intense peaks (15 to 90 degrees two-theta), sorted by position:
index  two_theta  d [Å]  Rel. int.
2 0 5  28.06  3.180  100
1 1 2  29.73  3.005  36
0 1 3  30.28  2.952  31
1 1 3  31.44  2.845  61
2 1 2  33.15  2.703  44
3 1 3  39.63  2.274  47

---

(5)
Starting from a cell relaxed with PBE, the powder diffraction line list of Gd2Ni2Sn was simulated for Cu Kα.
Neutral-atom scattering factors, no anomalous dispersion.

Structure:
Unit cell a=4.2948 b=5.7207 c=8.3477 alpha=90.00 beta=90.00 gamma=90.00
Space group Immm (No. 71)
Asymmetric unit:
Gd  0.0000  0.0000  0.2037 [4 per cell]
Ni  0.0000  0.2894  0.5000 [4 per cell]
Sn  0.0000  0.5000  0.0000 [2 per cell]

The 6 most intense peaks (15 to 90 degrees two-theta), sorted by position:
index  two_theta  d [Å]  Rel. int.
0 2 0  31.27  2.860  18
1 1 2  33.80  2.652  100
0 1 3  35.89  2.502  27
1 2 1  39.36  2.289  41
2 0 0  42.08  2.147  25
1 2 5  68.66  1.367  22

---

(6)
Starting from a cell relaxed with PBE, the powder diffraction line list of Ba2InReO6 was simulated for Cu Kα.
Neutral-atom scattering factors, no anomalous dispersion.

Structure:
Unit cell a=8.3544 b=8.3544 c=8.3544 alpha=90.00 beta=90.00 gamma=90.00
Space group Fm-3m (No. 225)
Asymmetric unit:
Ba  0.2500  0.2500  0.2500 [8 per cell]
In  0.0000  0.0000  0.0000 [4 per cell]
Re  0.0000  0.0000  0.5000 [4 per cell]
O  0.0000  0.0000  0.2610 [24 per cell]

The 6 most intense peaks (15 to 90 degrees two-theta), sorted by position:
index  two_theta  d [Å]  Rel. int.
2 2 0  30.26  2.954  100
4 0 0  43.32  2.089  29
4 2 2  53.75  1.705  40
4 4 0  62.93  1.477  18
6 2 0  71.41  1.321  18
6 4 2  87.35  1.116  22

---

(7)
Starting from a cell relaxed with PBE, the powder diffraction line list of SiO2 was simulated for Cu Kα.
Neutral-atom scattering factors, no anomalous dispersion.

Structure:
Unit cell a=5.6758 b=5.6758 c=11.3204 alpha=90.00 beta=90.00 gamma=90.00
Space group I4_122 (No. 98)
Asymmetric unit:
Si  0.1386  0.7500  0.1250 [8 per cell]
O  0.0000  0.0000  0.1163 [8 per cell]
O  0.2179  0.7179  0.7500 [8 per cell]

The 6 most intense peaks (15 to 90 degrees two-theta), sorted by position:
index  two_theta  d [Å]  Rel. int.
1 0 1  17.48  5.074  62
1 1 0  22.15  4.013  100
1 0 3  28.40  3.142  24
0 0 4  31.58  2.833  16
1 0 5  42.97  2.105  24
2 2 0  45.20  2.006  13

---

(8)
Starting from a cell relaxed with PBE, the powder diffraction line list of CaW2N2 was simulated for Cu Kα.
Neutral-atom scattering factors, no anomalous dispersion.

Structure:
Unit cell a=3.3566 b=3.3566 c=7.6743 alpha=90.00 beta=90.00 gamma=90.00
Space group P-4m2 (No. 115)
Asymmetric unit:
Ca  0.0000  0.0000  0.0000 [1 per cell]
W  0.5000  0.5000  0.3334 [2 per cell]
N  0.0000  0.5000  0.7890 [2 per cell]

The 6 most intense peaks (15 to 90 degrees two-theta), sorted by position:
index  two_theta  d [Å]  Rel. int.
1 0 0  26.56  3.357  100
1 0 1  29.04  3.075  81
1 0 2  35.53  2.526  46
1 1 0  37.91  2.373  56
1 0 3  44.53  2.035  52
1 1 3  52.60  1.740  53

---

(9)
Starting from a cell relaxed with PBE, the powder diffraction line list of Hf3Nb2Ge4 was simulated for Cu Kα.
Neutral-atom scattering factors, no anomalous dispersion.

Structure:
Unit cell a=6.9015 b=13.3344 c=7.0150 alpha=90.00 beta=90.00 gamma=90.00
Space group Pnma (No. 62)
Asymmetric unit:
Hf  0.0128  0.0927  0.1736 [8 per cell]
Hf  0.1698  0.2500  0.5059 [4 per cell]
Nb  0.1572  0.6229  0.3288 [8 per cell]
Ge  0.0460  0.2500  0.8848 [4 per cell]
Ge  0.1837  0.0383  0.5355 [8 per cell]
Ge  0.1908  0.7500  0.6454 [4 per cell]

The 6 most intense peaks (15 to 90 degrees two-theta), sorted by position:
index  two_theta  d [Å]  Rel. int.
1 3 2  35.09  2.557  94
2 3 1  35.33  2.541  89
0 4 2  37.20  2.417  67
0 6 0  40.59  2.222  32
3 0 1  41.31  2.185  100
1 6 3  58.89  1.568  33

---

(10)
Starting from a cell relaxed with PBE, the powder diffraction line list of Gd3Er was simulated for Cu Kα.
Neutral-atom scattering factors, no anomalous dispersion.

Structure:
Unit cell a=5.0403 b=5.0403 c=5.0403 alpha=90.00 beta=90.00 gamma=90.00
Space group Pm-3m (No. 221)
Asymmetric unit:
Gd  0.0000  0.0000  0.5000 [3 per cell]
Er  0.5000  0.5000  0.5000 [1 per cell]

The 6 most intense peaks (15 to 90 degrees two-theta), sorted by position:
index  two_theta  d [Å]  Rel. int.
1 1 1  30.72  2.910  100
2 0 0  35.63  2.520  51
2 2 0  51.27  1.782  36
3 1 1  60.97  1.520  43
3 3 1  83.63  1.156  18
4 2 0  86.32  1.127  17

---

(11)
Starting from a cell relaxed with PBE, the powder diffraction line list of YB2Rh3 was simulated for Cu Kα.
Neutral-atom scattering factors, no anomalous dispersion.

Structure:
Unit cell a=5.4495 b=5.4495 c=3.1329 alpha=90.00 beta=90.00 gamma=120.00
Space group P6/mmm (No. 191)
Asymmetric unit:
Y  0.0000  0.0000  0.0000 [1 per cell]
B  0.3333  0.6667  0.0000 [2 per cell]
Rh  0.0000  0.5000  0.5000 [3 per cell]

The 6 most intense peaks (15 to 90 degrees two-theta), sorted by position:
index  two_theta  d [Å]  Rel. int.
1 0 1  34.36  2.610  59
2 0 0  38.14  2.360  100
1 1 1  44.04  2.056  37
2 0 1  48.28  1.885  35
2 1 1  59.65  1.550  24
2 0 2  72.42  1.305  29

---

What is the formula in the first record?
BaCeC2O6F